[1]
The following is a calculated X-ray powder pattern of RbNb4Br11. It was derived from the PBE geometry in Alexandria, using Cu Kα X-rays.

Cell and atoms:
a = 17.0423 Å, b = 7.3927 Å, c = 7.3469 Å
α = 90.00°, β = 90.00°, γ = 90.00°
Fractional coordinates of all 32 atoms:
1 Rb 0.2500 0.0000 0.0034
2 Rb 0.7500 0.0000 0.9966
3 Nb 0.0000 0.2918 0.5000
4 Nb 0.0000 0.7082 0.5000
5 Nb 0.1391 0.5000 0.3839
6 Nb 0.3609 0.5000 0.3839
7 Nb 0.5000 0.2918 0.5000
8 Nb 0.5000 0.7082 0.5000
9 Nb 0.6391 0.5000 0.6161
10 Nb 0.8609 0.5000 0.6161
11 Br 0.0783 0.2465 0.1896
12 Br 0.0783 0.7535 0.1896
13 Br 0.0845 0.0000 0.6329
14 Br 0.0861 0.5000 0.7132
15 Br 0.2500 0.2652 0.5156
16 Br 0.2500 0.5000 0.1014
17 Br 0.2500 0.7348 0.5156
18 Br 0.4139 0.5000 0.7132
19 Br 0.4155 0.0000 0.6329
20 Br 0.4217 0.2465 0.1896
21 Br 0.4217 0.7535 0.1896
22 Br 0.5783 0.2465 0.8104
23 Br 0.5783 0.7535 0.8104
24 Br 0.5845 0.0000 0.3671
25 Br 0.5861 0.5000 0.2868
26 Br 0.7500 0.2652 0.4844
27 Br 0.7500 0.5000 0.8986
28 Br 0.7500 0.7348 0.4844
29 Br 0.9139 0.5000 0.2868
30 Br 0.9155 0.0000 0.3671
31 Br 0.9217 0.2465 0.8104
32 Br 0.9217 0.7535 0.8104

Main lines, by intensity (10° ≤ 2θ ≤ 90°):
2theta, intensity
12.02, 100
34.36, 87
31.35, 86
44.37, 45
32.17, 37
55.96, 29
37.96, 24
31.50, 24


[2]
The following is a calculated X-ray powder pattern of Hf5ScTc6. It was derived from the PBE geometry in Alexandria, using Cu Kα X-rays.

Cell and atoms:
a = 7.9708 Å, b = 7.9708 Å, c = 4.6239 Å
α = 106.72°, β = 106.72°, γ = 48.22°
Fractional coordinates of all 12 atoms:
1 Hf 0.0000 0.0000 0.0000
2 Hf 0.1673 0.1673 0.6672
3 Hf 0.3348 0.3348 0.3347
4 Hf 0.6652 0.6652 0.6653
5 Hf 0.8327 0.8327 0.3328
6 Sc 0.5000 0.5000 0.0000
7 Tc 0.0806 0.5841 0.8323
8 Tc 0.2460 0.7540 0.5000
9 Tc 0.4159 0.9194 0.1677
10 Tc 0.5841 0.0806 0.8323
11 Tc 0.7540 0.2460 0.5000
12 Tc 0.9194 0.4159 0.1677

Main lines, by intensity (10° ≤ 2θ ≤ 90°):
2theta, intensity
39.10, 100
38.96, 20
70.74, 14
70.87, 14
56.51, 14
70.59, 7
56.33, 7
70.94, 7